No. 1
# Zr2CrS6
Theoretical XRD peak list, Cu Kα X-rays. Input: the GGA-PBE geometry in Alexandria.
Peak positions follow from Bragg's law for the DFT cell and can differ from measured ones.

Largest 12 diffraction maxima, in order of rising 2θ, 2θ from 10° to 90°:
d (Å), 2θ (°), I_rel
5.696, 15.56, 74
4.648, 19.10, 31
3.400, 26.21, 36
3.321, 26.84, 34
3.133, 28.49, 53
2.585, 34.70, 72
2.481, 36.21, 47
2.457, 36.57, 100
2.134, 42.34, 62
1.907, 47.68, 41
1.874, 48.57, 35
1.765, 51.81, 36

Structural model:
abc: 11.3961 3.5293 8.3246
angles: 90.00 91.40 90.00
Space group C2/m (No. 12)
One atom of each set of equivalent atoms:
Zr 0.2366 0.0000 0.2421 [4 per cell]
Cr 0.0000 0.5000 0.5000 [2 per cell]
S 0.0704 0.5000 0.2357 [4 per cell]
S 0.1436 0.0000 0.5479 [4 per cell]
S 0.1560 0.0000 0.9271 [4 per cell]

=====

No. 2
# Ta4AlOs5
Theoretical XRD peak list, Cu Kα X-rays. Input: the GGA-PBE geometry in Alexandria.
Peak positions follow from Bragg's law for the DFT cell and can differ from measured ones.

Largest 12 diffraction maxima, in order of rising 2θ, 2θ from 10° to 90°:
d (Å), 2θ (°), I_rel
8.248, 10.73, 3
2.473, 36.33, 8
2.255, 39.98, 100
2.185, 41.33, 49
1.650, 55.73, 8
1.545, 59.87, 17
1.404, 66.60, 4
1.316, 71.69, 15
1.274, 74.44, 33
1.128, 86.27, 9
1.101, 88.90, 4
1.092, 89.78, 6

Structural model:
abc: 3.0897 3.0897 16.4952
angles: 90.00 90.00 90.00
Space group P4/mmm (No. 123)
One atom of each set of equivalent atoms:
Ta 0.0000 0.0000 0.1041 [2 per cell]
Ta 0.0000 0.0000 0.3109 [2 per cell]
Al 0.0000 0.0000 0.5000 [1 per cell]
Os 0.5000 0.5000 0.0000 [1 per cell]
Os 0.5000 0.5000 0.2100 [2 per cell]
Os 0.5000 0.5000 0.4082 [2 per cell]

=====

No. 3
# Cs2NdTi2O7
Theoretical XRD peak list, Cu Kα X-rays. Input: the GGA-PBE geometry in Alexandria.
Peak positions follow from Bragg's law for the DFT cell and can differ from measured ones.

Largest 12 diffraction maxima, in order of rising 2θ, 2θ from 10° to 90°:
d (Å), 2θ (°), I_rel
4.124, 21.55, 14
3.910, 22.74, 14
3.092, 28.88, 100
2.800, 31.97, 44
2.316, 38.88, 27
1.980, 45.84, 25
1.956, 46.43, 13
1.854, 49.14, 14
1.667, 55.08, 33
1.546, 59.82, 9
1.400, 66.83, 7
1.391, 67.29, 9

Structural model:
abc: 3.9595 3.9595 24.7440
angles: 90.00 90.00 90.00
Space group I4/mmm (No. 139)
One atom of each set of equivalent atoms:
Cs 0.0000 0.0000 0.1854 [4 per cell]
Nd 0.0000 0.0000 0.0000 [2 per cell]
Ti 0.0000 0.0000 0.4162 [4 per cell]
O 0.0000 0.0000 0.3439 [4 per cell]
O 0.0000 0.0000 0.5000 [2 per cell]
O 0.0000 0.5000 0.0700 [8 per cell]

=====

No. 4
# HfBMo2
Theoretical XRD peak list, Cu Kα X-rays. Input: the GGA-PBE geometry in Alexandria.
Peak positions follow from Bragg's law for the DFT cell and can differ from measured ones.

Largest 12 diffraction maxima, in order of rising 2θ, 2θ from 10° to 90°:
d (Å), 2θ (°), I_rel
3.643, 24.43, 28
2.888, 30.97, 28
2.462, 36.50, 67
2.360, 38.14, 15
2.331, 38.63, 100
2.026, 44.74, 12
1.975, 45.96, 24
1.625, 56.64, 13
1.541, 60.05, 12
1.417, 65.94, 23
1.356, 69.29, 13
1.198, 80.12, 12

Structural model:
abc: 3.2500 18.8767 3.9493
angles: 90.00 90.00 90.00
Space group Cmcm (No. 63)
One atom of each set of equivalent atoms:
Hf 0.0000 0.1170 0.2500 [4 per cell]
B 0.0000 0.3382 0.2500 [4 per cell]
Mo 0.0000 0.2520 0.7500 [4 per cell]
Mo 0.0000 0.4635 0.2500 [4 per cell]

=====

No. 5
# Lu3Cu
Theoretical XRD peak list, Cu Kα X-rays. Input: the GGA-PBE geometry in Alexandria.
Peak positions follow from Bragg's law for the DFT cell and can differ from measured ones.

Largest 12 diffraction maxima, in order of rising 2θ, 2θ from 10° to 90°:
d (Å), 2θ (°), I_rel
3.357, 26.55, 14
2.957, 30.22, 34
2.710, 33.05, 15
2.572, 34.88, 31
2.565, 34.99, 100
1.866, 48.81, 10
1.848, 49.32, 13
1.765, 51.78, 10
1.516, 61.14, 10
1.501, 61.83, 14
1.483, 62.62, 24
1.456, 63.96, 11

Structural model:
abc: 3.5308 5.1444 10.8411
angles: 90.00 90.00 90.00
Space group Immm (No. 71)
One atom of each set of equivalent atoms:
Lu 0.0000 0.0000 0.0000 [2 per cell]
Lu 0.0000 0.5000 0.2046 [4 per cell]
Cu 0.0000 0.0000 0.5000 [2 per cell]

=====

No. 6
# PmReO4F2
Theoretical XRD peak list, Cu Kα X-rays. Input: the GGA-PBE geometry in Alexandria.
Peak positions follow from Bragg's law for the DFT cell and can differ from measured ones.

Largest 12 diffraction maxima, in order of rising 2θ, 2θ from 10° to 90°:
d (Å), 2θ (°), I_rel
4.227, 21.02, 73
3.836, 23.19, 77
3.627, 24.55, 100
2.973, 30.06, 34
2.724, 32.88, 15
2.702, 33.15, 18
2.671, 33.55, 20
2.603, 34.45, 20
2.571, 34.90, 17
2.306, 39.06, 18
1.815, 50.28, 15
1.769, 51.66, 13

Structural model:
abc: 4.6923 5.5270 5.6003
angles: 87.62 68.61 75.49
Space group P1 (No. 1)
One atom of each set of equivalent atoms:
Pm 0.0000 0.0000 0.0000 [1 per cell]
Re 0.1538 0.4528 0.4531 [1 per cell]
O 0.0336 0.2111 0.3573 [1 per cell]
O 0.0684 0.3732 0.7813 [1 per cell]
O 0.5514 0.3749 0.2518 [1 per cell]
O 0.9428 0.7171 0.3412 [1 per cell]
F 0.2562 0.7617 0.6308 [1 per cell]
F 0.5433 0.9551 0.9605 [1 per cell]

=====

Please write out number 5 again, unchanged.
# Lu3Cu
Theoretical XRD peak list, Cu Kα X-rays. Input: the GGA-PBE geometry in Alexandria.
Peak positions follow from Bragg's law for the DFT cell and can differ from measured ones.

Largest 12 diffraction maxima, in order of rising 2θ, 2θ from 10° to 90°:
d (Å), 2θ (°), I_rel
3.357, 26.55, 14
2.957, 30.22, 34
2.710, 33.05, 15
2.572, 34.88, 31
2.565, 34.99, 100
1.866, 48.81, 10
1.848, 49.32, 13
1.765, 51.78, 10
1.516, 61.14, 10
1.501, 61.83, 14
1.483, 62.62, 24
1.456, 63.96, 11

Structural model:
abc: 3.5308 5.1444 10.8411
angles: 90.00 90.00 90.00
Space group Immm (No. 71)
One atom of each set of equivalent atoms:
Lu 0.0000 0.0000 0.0000 [2 per cell]
Lu 0.0000 0.5000 0.2046 [4 per cell]
Cu 0.0000 0.0000 0.5000 [2 per cell]